Entry 1:
# BaCeO3
Computed XRD peak list, a wavelength of 1.5418 Å. Input: DFT lattice parameters and positions (PBE).

Most intense lines, 10 to 90 degrees two-theta, low angle first:
3.161 Å, I 187
3.139 Å, I 1000
2.227 Å, I 227
2.213 Å, I 104
1.821 Å, I 183
1.812 Å, I 255
1.808 Å, I 93
1.569 Å, I 168
1.407 Å, I 78
1.186 Å, I 133

Cell and atoms:
a = 6.2736 Å, b = 8.8517 Å, c = 6.3229 Å
α = 90.00°, β = 90.00°, γ = 90.00°
Space group Imma (No. 74)
One atom of each set of equivalent atoms:
Ba 0.0000 0.2500 0.0102 [4 per cell]
Ce 0.0000 0.0000 0.5000 [4 per cell]
O 0.0000 0.2500 0.5811 [4 per cell]
O 0.2500 0.0458 0.2500 [8 per cell]

Entry 2:
# Ba4Ce2O7
Computed XRD peak list, a wavelength of 1.5418 Å. Input: DFT lattice parameters and positions (PBE).

Most intense lines, 10 to 90 degrees two-theta, low angle first:
3.212 Å, I 1000
3.104 Å, I 297
3.065 Å, I 314
2.374 Å, I 168
2.181 Å, I 240
1.886 Å, I 121
1.876 Å, I 168
1.812 Å, I 158
1.797 Å, I 200
1.606 Å, I 171

Cell and atoms:
a = 14.2417 Å, b = 6.2083 Å, c = 12.2618 Å
α = 90.00°, β = 90.00°, γ = 90.00°
Space group Cmce (No. 64)
One atom of each set of equivalent atoms:
Ba 0.1543 0.2170 0.1197 [16 per cell]
Ce 0.0000 0.2313 0.3691 [8 per cell]
O 0.0000 0.0000 0.0000 [4 per cell]
O 0.0000 0.0986 0.7105 [8 per cell]
O 0.1618 0.2417 0.3823 [16 per cell]

Entry 3:
# BaCeO3
Computed XRD peak list, a wavelength of 1.5418 Å. Input: DFT lattice parameters and positions (PBE).

Most intense lines, 10 to 90 degrees two-theta, low angle first:
3.146 Å, I 1000
2.224 Å, I 275
1.816 Å, I 363
1.814 Å, I 75
1.576 Å, I 27
1.572 Å, I 137
1.408 Å, I 84
1.406 Å, I 89
1.190 Å, I 60
1.188 Å, I 146

Cell and atoms:
a = 6.3036 Å, b = 8.8850 Å, c = 6.2869 Å
α = 90.00°, β = 90.00°, γ = 90.00°
Space group Pnma (No. 62)
One atom of each set of equivalent atoms:
Ba 0.0234 0.2500 0.0061 [4 per cell]
Ce 0.0000 0.0000 0.5000 [4 per cell]
O 0.0179 0.7500 0.4243 [4 per cell]
O 0.2214 0.5407 0.7777 [8 per cell]

Entry 4:
# Ba2CePaO6
Computed XRD peak list, a wavelength of 1.5418 Å. Input: DFT lattice parameters and positions (PBE).

Most intense lines, 10 to 90 degrees two-theta, low angle first:
5.221 Å, I 47
4.521 Å, I 62
3.197 Å, I 1000
2.261 Å, I 288
1.846 Å, I 427
1.599 Å, I 188
1.430 Å, I 190
1.305 Å, I 63
1.208 Å, I 223
1.130 Å, I 30

Cell and atoms:
a = 9.0428 Å, b = 9.0428 Å, c = 9.0428 Å
α = 90.00°, β = 90.00°, γ = 90.00°
Space group Fm-3m (No. 225)
One atom of each set of equivalent atoms:
Ba 0.2500 0.2500 0.2500 [8 per cell]
Ce 0.0000 0.0000 0.0000 [4 per cell]
Pa 0.0000 0.0000 0.5000 [4 per cell]
O 0.0000 0.0000 0.2563 [24 per cell]

Entry 5:
# Ba2CePbO6
Computed XRD peak list, a wavelength of 1.5418 Å. Input: DFT lattice parameters and positions (PBE).

Most intense lines, 10 to 90 degrees two-theta, low angle first:
3.122 Å, I 990
3.106 Å, I 1000
2.202 Å, I 555
1.800 Å, I 660
1.790 Å, I 209
1.561 Å, I 172
1.553 Å, I 179
1.395 Å, I 182
1.390 Å, I 188
1.179 Å, I 236

Cell and atoms:
a = 6.2433 Å, b = 6.2433 Å, c = 15.1765 Å
α = 90.00°, β = 90.00°, γ = 120.00°
Space group R-3 (No. 148, hexagonal axes)
One atom of each set of equivalent atoms:
Ba 0.0000 0.0000 0.2501 [6 per cell]
Ce 0.0000 0.0000 0.0000 [3 per cell]
Pb 0.0000 0.0000 0.5000 [3 per cell]
O 0.0020 0.4516 0.2496 [18 per cell]

Entry 6:
# Ba2CePuO6
Computed XRD peak list, a wavelength of 1.5418 Å. Input: DFT lattice parameters and positions (PBE).

Most intense lines, 10 to 90 degrees two-theta, low angle first:
5.130 Å, I 52
4.443 Å, I 67
3.142 Å, I 1000
2.222 Å, I 285
1.987 Å, I 32
1.814 Å, I 424
1.571 Å, I 186
1.405 Å, I 188
1.283 Å, I 62
1.187 Å, I 222

Cell and atoms:
a = 8.8861 Å, b = 8.8861 Å, c = 8.8861 Å
α = 90.00°, β = 90.00°, γ = 90.00°
Space group Fm-3m (No. 225)
One atom of each set of equivalent atoms:
Ba 0.2500 0.2500 0.2500 [8 per cell]
Ce 0.0000 0.0000 0.0000 [4 per cell]
Pu 0.0000 0.0000 0.5000 [4 per cell]
O 0.0000 0.0000 0.2536 [24 per cell]

Entry 7:
# BaSrCeSnO6
Computed XRD peak list, a wavelength of 1.5418 Å. Input: DFT lattice parameters and positions (PBE).

Most intense lines, 10 to 90 degrees two-theta, low angle first:
4.967 Å, I 23
4.301 Å, I 35
3.042 Å, I 1000
2.151 Å, I 313
1.924 Å, I 15
1.756 Å, I 415
1.521 Å, I 198
1.360 Å, I 184
1.242 Å, I 66
1.150 Å, I 223

Cell and atoms:
a = 8.6029 Å, b = 8.6029 Å, c = 8.6029 Å
α = 90.00°, β = 90.00°, γ = 90.00°
Space group F-43m (No. 216)
One atom of each set of equivalent atoms:
Ba 0.0000 0.0000 0.0000 [4 per cell]
Sr 0.0000 0.0000 0.5000 [4 per cell]
Ce 0.2500 0.2500 0.7500 [4 per cell]
Sn 0.2500 0.2500 0.2500 [4 per cell]
O 0.0081 0.2500 0.2500 [24 per cell]

Entry 8:
# BaSrCeSnO6
Computed XRD peak list, a wavelength of 1.5418 Å. Input: DFT lattice parameters and positions (PBE).

Most intense lines, 10 to 90 degrees two-theta, low angle first:
4.285 Å, I 30
3.030 Å, I 1000
2.142 Å, I 294
1.916 Å, I 13
1.749 Å, I 440
1.515 Å, I 179
1.356 Å, I 123
1.354 Å, I 61
1.237 Å, I 58
1.145 Å, I 231

Cell and atoms:
a = 8.5616 Å, b = 8.5730 Å, c = 8.5749 Å
α = 90.00°, β = 90.00°, γ = 90.00°
Space group P222 (No. 16)
One atom of each set of equivalent atoms:
Ba 0.0000 0.0000 0.0000 [1 per cell]
Ba 0.0000 0.0000 0.5000 [1 per cell]
Ba 0.5000 0.0000 0.0000 [1 per cell]
Ba 0.5000 0.5000 0.5000 [1 per cell]
Sr 0.0000 0.5000 0.0000 [1 per cell]
Sr 0.0000 0.5000 0.5000 [1 per cell]
Sr 0.5000 0.0000 0.5000 [1 per cell]
Sr 0.5000 0.5000 0.0000 [1 per cell]
Ce 0.2500 0.2526 0.7495 [4 per cell]
Sn 0.2502 0.2525 0.2505 [4 per cell]
O 0.0073 0.2286 0.2746 [4 per cell]
O 0.2176 0.4925 0.2861 [4 per cell]
O 0.2190 0.2828 0.0082 [4 per cell]
O 0.2720 0.0085 0.2266 [4 per cell]
O 0.2860 0.2209 0.4918 [4 per cell]
O 0.4914 0.2861 0.2172 [4 per cell]

Entry 9:
# BaSrCe4O12
Computed XRD peak list, a wavelength of 1.5418 Å. Input: DFT lattice parameters and positions (PBE).

Most intense lines, 10 to 90 degrees two-theta, low angle first:
5.080 Å, I 665
4.494 Å, I 365
4.380 Å, I 367
4.328 Å, I 411
3.137 Å, I 1000
3.117 Å, I 929
3.079 Å, I 856
1.815 Å, I 382
1.792 Å, I 405
1.781 Å, I 335

Cell and atoms:
a = 8.7599 Å, b = 8.9875 Å, c = 8.6568 Å
α = 90.00°, β = 90.00°, γ = 90.00°
Space group Amm2 (No. 38)
One atom of each set of equivalent atoms:
Ba 0.0000 0.0000 0.0000 [2 per cell]
Sr 0.5000 0.0000 0.5770 [2 per cell]
Ce 0.2573 0.2329 0.2920 [8 per cell]
O 0.0000 0.2206 0.2855 [4 per cell]
O 0.2313 0.2107 0.0384 [8 per cell]
O 0.2372 0.0000 0.7664 [4 per cell]
O 0.3135 0.0000 0.3516 [4 per cell]
O 0.5000 0.2077 0.7626 [4 per cell]

Entry 10:
# BaSrTbCeO6
Computed XRD peak list, a wavelength of 1.5418 Å. Input: DFT lattice parameters and positions (PBE).

Most intense lines, 10 to 90 degrees two-theta, low angle first:
4.387 Å, I 56
3.102 Å, I 1000
2.194 Å, I 278
1.962 Å, I 25
1.791 Å, I 455
1.551 Å, I 168
1.387 Å, I 184
1.266 Å, I 54
1.172 Å, I 225
1.097 Å, I 25

Cell and atoms:
a = 8.7717 Å, b = 8.7735 Å, c = 8.7773 Å
α = 90.00°, β = 90.00°, γ = 90.00°
Space group P222 (No. 16)
One atom of each set of equivalent atoms:
Ba 0.0000 0.0000 0.0000 [1 per cell]
Ba 0.0000 0.5000 0.0000 [1 per cell]
Ba 0.5000 0.0000 0.0000 [1 per cell]
Ba 0.5000 0.5000 0.5000 [1 per cell]
Sr 0.0000 0.0000 0.5000 [1 per cell]
Sr 0.0000 0.5000 0.5000 [1 per cell]
Sr 0.5000 0.0000 0.5000 [1 per cell]
Sr 0.5000 0.5000 0.0000 [1 per cell]
Tb 0.2511 0.2502 0.2534 [4 per cell]
Ce 0.2496 0.2507 0.7467 [4 per cell]
O 0.0022 0.2805 0.7813 [4 per cell]
O 0.2081 0.0023 0.7099 [4 per cell]
O 0.2101 0.2979 0.5025 [4 per cell]
O 0.2772 0.2171 0.9973 [4 per cell]
O 0.2963 0.4977 0.7869 [4 per cell]
O 0.4971 0.2092 0.7033 [4 per cell]

Entry 11:
# BaSrTbCeO6
Computed XRD peak list, a wavelength of 1.5418 Å. Input: DFT lattice parameters and positions (PBE).

Most intense lines, 10 to 90 degrees two-theta, low angle first:
3.121 Å, I 241
3.095 Å, I 1000
3.077 Å, I 238
2.191 Å, I 254
2.186 Å, I 135
1.797 Å, I 186
1.791 Å, I 112
1.781 Å, I 291
1.548 Å, I 149
1.383 Å, I 112

Cell and atoms:
a = 6.1536 Å, b = 6.2429 Å, c = 8.7451 Å
α = 90.06°, β = 90.02°, γ = 90.08°
Space group P-1 (No. 2)
One atom of each set of equivalent atoms:
Ba 0.0089 0.4650 0.2499 [2 per cell]
Sr 0.4890 0.9597 0.2504 [2 per cell]
Tb 0.0000 0.0000 0.0000 [1 per cell]
Tb 0.5000 0.5000 0.5000 [1 per cell]
Ce 0.0000 0.0000 0.5000 [1 per cell]
Ce 0.5000 0.5000 0.0000 [1 per cell]
O 0.0992 0.9829 0.7480 [2 per cell]
O 0.2090 0.7151 0.4564 [2 per cell]
O 0.2132 0.7096 0.0419 [2 per cell]
O 0.2919 0.2045 0.4481 [2 per cell]
O 0.2959 0.2089 0.0528 [2 per cell]
O 0.4227 0.4549 0.7518 [2 per cell]

- Which formula does entry 3 have?
  BaCeO3

- What is the formula in the ninth record?
  BaSrCe4O12